# Cs2BO3
Calculated X-ray powder pattern, a wavelength of 1.5418 Å. Input: a structure optimized by DFT (GGA-PBE).
Lines closer than 0.1° are merged.

Atomic structure:
```
Cs2BO3
1.0
0.0000 6.0364 6.4016
4.2431 0.0000 6.4016
4.2431 6.0364 0.0000
Cs B O
4 2 6
direct
0.2467 0.7533 0.7533 Cs
0.2500 0.2500 0.2500 Cs
0.7500 0.7500 0.7500 Cs
0.7533 0.2467 0.2467 Cs
0.2182 0.2182 0.7818 B
0.7818 0.7818 0.2182 B
0.0651 0.2607 0.7393 O
0.2607 0.0651 0.9349 O
0.3252 0.3252 0.6748 O
0.6748 0.6748 0.3252 O
0.7393 0.9349 0.0651 O
0.9349 0.7393 0.2607 O
```

Peak list (10 most intense, 15° ≤ 2θ ≤ 90°, low angle first)
d (Å)	2theta	intensity
4.392	20.22	86
4.243	20.94	27
3.201	27.87	20
3.052	29.27	100
3.018	29.60	20
2.555	35.12	30
2.459	36.53	23
2.196	41.11	18
1.950	46.57	20
1.910	47.60	18